Sm5AgBi4: calculated powder diffractogram (λ = 1.5418 Å (Cu Kα)), based on a crystal structure in Alexandria, relaxed with PBE.
Kinematic intensities with the Lorentz-polarization factor, no thermal factor.

Peak list (6 most intense, 10° ≤ 2θ ≤ 90°, low angle first)
d = 3.200 Å, 2θ 27.88, intensity 100.0
d = 2.263 Å, 2θ 39.84, intensity 78.1
d = 1.847 Å, 2θ 49.33, intensity 28.3
d = 1.600 Å, 2θ 57.61, intensity 13.4
d = 1.431 Å, 2θ 65.19, intensity 37.0
d = 1.306 Å, 2θ 72.33, intensity 27.5

Structural model:
```
data_Sm5AgBi4
_symmetry_space_group_name_H-M 'I 4/m'
_symmetry_Int_Tables_number 87
_symmetry_space_group_name_Hall '-I 4'
_cell_length_a 10.1215
_cell_length_b 10.1215
_cell_length_c 6.3962
_cell_angle_alpha 90.00
_cell_angle_beta 90.00
_cell_angle_gamma 90.00
loop_
_atom_site_label
_atom_site_fract_x
_atom_site_fract_y
_atom_site_fract_z
Sm1 0.0000 0.0000 0.0000
Sm2 0.1040 0.3033 0.5000
Ag1 0.0000 0.0000 0.5000
Bi1 0.0992 0.2995 0.0000
```



Sm7Ag2Bi2: calculated powder diffractogram (λ = 1.5418 Å (Cu Kα)), based on a crystal structure in Alexandria, relaxed with PBE.
Kinematic intensities with the Lorentz-polarization factor, no thermal factor.

Peak list (6 most intense, 10° ≤ 2θ ≤ 90°, low angle first)
d = 3.846 Å, 2θ 23.13, intensity 50.8
d = 3.133 Å, 2θ 28.49, intensity 39.1
d = 2.969 Å, 2θ 30.10, intensity 37.3
d = 2.840 Å, 2θ 31.50, intensity 61.4
d = 2.497 Å, 2θ 35.96, intensity 100.0
d = 2.470 Å, 2θ 36.37, intensity 31.0

Structural model:
```
data_Sm7Ag2Bi2
_symmetry_space_group_name_H-M 'C m m m'
_symmetry_Int_Tables_number 65
_symmetry_space_group_name_Hall '-C 2 2'
_cell_length_a 9.2242
_cell_length_b 11.3593
_cell_length_c 6.9694
_cell_angle_alpha 90.00
_cell_angle_beta 90.00
_cell_angle_gamma 90.00
loop_
_atom_site_label
_atom_site_fract_x
_atom_site_fract_y
_atom_site_fract_z
Sm1 0.0000 0.0000 0.0000
Sm2 0.0000 0.5000 0.2450
Sm3 0.2500 0.2500 0.2603
Ag1 0.0000 0.2749 0.0000
Bi1 0.1880 0.0000 0.5000
```



Ag2SnBi: calculated powder diffractogram (λ = 1.5418 Å (Cu Kα)), based on a crystal structure in Alexandria, relaxed with PBE.
Kinematic intensities with the Lorentz-polarization factor, no thermal factor.

Peak list (6 most intense, 10° ≤ 2θ ≤ 90°, low angle first)
d = 3.254 Å, 2θ 27.41, intensity 46.9
d = 3.204 Å, 2θ 27.85, intensity 100.0
d = 2.306 Å, 2θ 39.05, intensity 40.4
d = 2.288 Å, 2θ 39.38, intensity 69.1
d = 2.278 Å, 2θ 39.57, intensity 71.4
d = 2.226 Å, 2θ 40.52, intensity 32.6

Structural model:
```
data_Ag2SnBi
_symmetry_space_group_name_H-M 'P b c m'
_symmetry_Int_Tables_number 57
_cell_length_a 8.9048
_cell_length_b 7.9517
_cell_length_c 5.6631
_cell_angle_alpha 90.00
_cell_angle_beta 90.00
_cell_angle_gamma 90.00
loop_
_symmetry_equiv_pos_as_xyz
'x,y,z'
'-x,-y,-z'
'-x,-y,z+1/2'
'x,y,-z+1/2'
'x,-y+1/2,-z'
'-x,y+1/2,z'
'-x,y+1/2,-z+1/2'
'x,-y+1/2,z+1/2'
loop_
_atom_site_label
_atom_site_fract_x
_atom_site_fract_y
_atom_site_fract_z
Ag1 0.1137 0.2500 0.0000
Ag2 0.3591 0.7500 0.0000
Sn1 0.1216 0.5698 0.2500
Bi1 0.3745 0.0844 0.2500
```



Sr8Ag2Bi: calculated powder diffractogram (λ = 1.5418 Å (Cu Kα)), based on a crystal structure in Alexandria, relaxed with PBE.
Kinematic intensities with the Lorentz-polarization factor, no thermal factor.

Peak list (6 most intense, 10° ≤ 2θ ≤ 90°, low angle first)
d = 4.812 Å, 2θ 18.44, intensity 51.2
d = 3.388 Å, 2θ 26.30, intensity 36.2
d = 3.213 Å, 2θ 27.77, intensity 97.3
d = 3.171 Å, 2θ 28.14, intensity 71.1
d = 2.946 Å, 2θ 30.34, intensity 56.2
d = 2.687 Å, 2θ 33.34, intensity 100.0

Structural model:
```
data_Sr8Ag2Bi
_symmetry_space_group_name_H-M 'C 1 m 1'
_symmetry_Int_Tables_number 8
_cell_length_a 9.9982
_cell_length_b 14.9314
_cell_length_c 6.5824
_cell_angle_alpha 90.00
_cell_angle_beta 106.35
_cell_angle_gamma 90.00
loop_
_symmetry_equiv_pos_as_xyz
'x,y,z'
'x,-y,z'
'x+1/2,y+1/2,z'
'x+1/2,-y+1/2,z'
loop_
_atom_site_label
_atom_site_fract_x
_atom_site_fract_y
_atom_site_fract_z
Sr1 0.0000 0.0000 0.0000
Sr2 0.0730 0.3697 0.7737
Sr3 0.1642 0.1311 0.5845
Sr4 0.2447 0.5000 0.3833
Sr5 0.3661 0.2292 0.1867
Ag1 0.3716 0.3118 0.6915
Bi1 0.3712 0.0000 0.3169
```